1.
This entry pairs a crystal structure of Dy3Tm9Th2 with its computed PXRD pattern. Radiation: Cu Kα, 1.54184 Å. Structure: a crystal structure in Alexandria, relaxed with GGA-PBE.
Neutral-atom scattering factors, no anomalous dispersion.

Structure:
```
Dy3Tm9Th2
1.0
3.562 0.000 0.000
1.777 11.796 0.000
1.779 5.542 10.414
Dy Tm Th
3 9 2
Direct
0.000 0.000 0.000
0.171 0.828 0.829
0.403 0.596 0.597
0.367 0.267 0.997
0.368 0.997 0.267
0.572 0.427 0.427
0.598 0.106 0.696
0.598 0.696 0.106
0.787 0.557 0.867
0.787 0.867 0.558
0.970 0.325 0.734
0.970 0.734 0.325
0.203 0.427 0.163
0.204 0.163 0.427
```

Peak list (12 most intense, 5 to 70 degrees two-theta, by intensity)
2θ/deg, d (Å), intensity
33.52, 2.674, 1000
31.26, 2.862, 467
61.32, 1.512, 203
30.74, 2.909, 165
50.58, 1.805, 151
31.84, 2.811, 138
57.08, 1.614, 127
27.55, 3.238, 126
51.31, 1.781, 98
44.79, 2.023, 92
59.99, 1.542, 89
53.11, 1.725, 74

2.
This entry pairs a crystal structure of K2BaS12O12 with its computed PXRD pattern. Radiation: Cu Kα, 1.54184 Å. Structure: a crystal structure in Alexandria, relaxed with GGA-PBE.
Neutral-atom scattering factors, no anomalous dispersion.

Structure:
```
K2BaS12O12
1.0
11.970 0.000 0.000
0.000 11.192 0.000
-3.610 0.000 8.715
K Ba S O
4 2 24 24
Direct
0.000 0.000 0.000
0.000 0.000 0.500
0.500 0.448 0.250
0.500 0.552 0.750
0.500 0.013 0.250
0.500 0.987 0.750
0.103 0.342 0.956
0.103 0.658 0.456
0.158 0.414 0.176
0.158 0.586 0.676
0.176 0.286 0.337
0.176 0.714 0.837
0.248 0.103 0.922
0.248 0.296 0.904
0.248 0.704 0.404
0.248 0.897 0.422
0.371 0.272 0.457
0.371 0.728 0.957
0.629 0.272 0.043
0.629 0.728 0.543
0.752 0.103 0.578
0.752 0.296 0.596
0.752 0.704 0.096
0.752 0.897 0.078
0.824 0.286 0.163
0.824 0.714 0.663
0.842 0.414 0.324
0.842 0.586 0.824
0.897 0.342 0.544
0.897 0.658 0.044
0.140 0.061 0.795
0.140 0.939 0.295
0.247 0.074 0.073
0.247 0.926 0.573
0.364 0.073 0.911
0.364 0.927 0.411
0.377 0.188 0.578
0.377 0.812 0.078
0.412 0.394 0.509
0.412 0.606 0.009
0.420 0.228 0.347
0.420 0.772 0.847
0.580 0.228 0.153
0.580 0.772 0.653
0.588 0.394 0.991
0.588 0.606 0.491
0.623 0.188 0.922
0.623 0.812 0.422
0.636 0.073 0.589
0.636 0.927 0.089
0.753 0.074 0.427
0.753 0.926 0.927
0.860 0.061 0.705
0.860 0.939 0.205
```

Peak list (12 most intense, 5 to 70 degrees two-theta, by intensity)
2θ/deg, d (Å), intensity
7.95, 11.122, 1000
24.68, 3.607, 693
24.97, 3.567, 313
11.25, 7.866, 270
25.92, 3.437, 263
22.61, 3.933, 260
23.85, 3.731, 233
23.49, 3.787, 211
26.02, 3.424, 192
17.28, 5.131, 177
18.86, 4.706, 173
34.59, 2.593, 169

3.
This entry pairs a crystal structure of LiH2F3 with its computed PXRD pattern. Radiation: Cu Kα, 1.54184 Å. Structure: a crystal structure in Alexandria, relaxed with GGA-PBE.
Neutral-atom scattering factors, no anomalous dispersion.

Structure:
```
LiH2F3
1.0
5.262 0.000 0.000
0.000 2.936 0.000
-1.517 0.000 7.104
Li H F
2 4 6
Direct
0.176 0.250 0.123
0.824 0.750 0.877
0.238 0.250 0.513
0.311 0.250 0.816
0.689 0.750 0.184
0.762 0.750 0.487
0.147 0.250 0.382
0.208 0.750 0.964
0.400 0.250 0.711
0.600 0.750 0.289
0.792 0.250 0.036
0.853 0.750 0.618
```

Peak list (12 most intense, 5 to 70 degrees two-theta, by intensity)
2θ/deg, d (Å), intensity
36.17, 2.483, 1000
38.69, 2.327, 298
39.67, 2.272, 258
33.51, 2.674, 237
49.45, 1.843, 224
45.91, 1.977, 214
50.79, 1.798, 186
38.00, 2.368, 155
68.39, 1.372, 93
63.36, 1.468, 88
34.87, 2.573, 82
35.19, 2.550, 81